# 1
Theoretical powder XRD pattern
Compound: HoCr2Fe10
Radiation: copper Kα
Structure: a crystal structure in the Materials Project, relaxed with GGA-PBE

Peak list (10 most intense, 5° ≤ 2θ ≤ 70°, low angle first)
- 30.53°, d 2.928, rel. 62
- 37.34°, d 2.409, rel. 28
- 37.56°, d 2.395, rel. 30
- 38.52°, d 2.337, rel. 22
- 42.91°, d 2.108, rel. 42
- 43.32°, d 2.089, rel. 100
- 43.46°, d 2.082, rel. 74
- 44.35°, d 2.042, rel. 96
- 49.64°, d 1.837, rel. 29
- 62.60°, d 1.484, rel. 17

Cell and atoms:
```
HoCr2Fe10
1.0
-2.337 4.183 4.215
2.337 -4.183 4.215
2.337 4.183 -4.215
Ho Cr Fe
1 2 10
direct
0.000 0.000 0.000
0.368 0.368 0.000
0.632 0.632 0.000
0.000 0.000 0.500
0.000 0.500 0.000
0.225 0.500 0.725
0.228 0.728 0.500
0.359 0.000 0.359
0.500 0.000 0.000
0.500 0.500 0.500
0.641 0.000 0.641
0.772 0.272 0.500
0.775 0.500 0.275
```


# 2
Theoretical powder XRD pattern
Compound: LuCr2Fe10
Radiation: copper Kα
Structure: a crystal structure in the Materials Project, relaxed with GGA-PBE

Peak list (10 most intense, 5° ≤ 2θ ≤ 70°, low angle first)
- 30.60°, d 2.922, rel. 35
- 30.72°, d 2.910, rel. 30
- 37.47°, d 2.400, rel. 30
- 37.79°, d 2.381, rel. 32
- 43.11°, d 2.098, rel. 41
- 43.58°, d 2.077, rel. 100
- 43.72°, d 2.071, rel. 76
- 44.39°, d 2.041, rel. 51
- 44.52°, d 2.035, rel. 46
- 49.79°, d 1.831, rel. 25

Cell and atoms:
```
LuCr2Fe10
1.0
-2.335 4.151 4.197
2.335 -4.151 4.197
2.335 4.151 -4.197
Lu Cr Fe
1 2 10
direct
0.000 0.000 0.000
0.368 0.368 0.000
0.632 0.632 0.000
0.000 0.000 0.500
0.000 0.500 0.000
0.223 0.500 0.723
0.226 0.726 0.500
0.358 0.000 0.358
0.500 0.000 0.000
0.500 0.500 0.500
0.642 0.000 0.642
0.774 0.274 0.500
0.777 0.500 0.277
```


# 3
Theoretical powder XRD pattern
Compound: Mg14CrFe
Radiation: copper Kα
Structure: a crystal structure in the Materials Project, relaxed with GGA-PBE

Peak list (10 most intense, 5° ≤ 2θ ≤ 70°, low angle first)
- 8.99°, d 9.835, rel. 35
- 18.64°, d 4.761, rel. 10
- 32.93°, d 2.720, rel. 12
- 33.77°, d 2.654, rel. 28
- 36.54°, d 2.459, rel. 37
- 37.79°, d 2.380, rel. 56
- 38.55°, d 2.336, rel. 100
- 50.61°, d 1.804, rel. 16
- 59.33°, d 1.558, rel. 18
- 67.11°, d 1.395, rel. 15

Cell and atoms:
```
Mg14CrFe
1.0
9.835 0.000 0.000
0.000 3.040 5.441
0.000 -3.040 5.441
Mg Cr Fe
14 1 1
direct
0.000 0.000 0.000
0.000 0.003 0.502
0.000 0.499 0.499
0.000 0.502 0.003
0.255 0.661 0.661
0.262 0.160 0.160
0.273 0.172 0.674
0.273 0.674 0.172
0.500 0.499 0.995
0.500 0.995 0.499
0.727 0.172 0.674
0.727 0.674 0.172
0.738 0.160 0.160
0.745 0.661 0.661
0.500 0.509 0.509
0.500 0.007 0.007
```


# 4
Theoretical powder XRD pattern
Compound: Mg14CrFe
Radiation: copper Kα
Structure: a crystal structure in the Materials Project, relaxed with GGA-PBE

Peak list (10 most intense, 5° ≤ 2θ ≤ 70°, low angle first)
- 16.17°, d 5.480, rel. 12
- 24.21°, d 3.676, rel. 6
- 32.68°, d 2.740, rel. 26
- 33.61°, d 2.667, rel. 3
- 36.25°, d 2.478, rel. 24
- 37.51°, d 2.398, rel. 100
- 47.58°, d 1.911, rel. 3
- 49.60°, d 1.838, rel. 15
- 58.33°, d 1.582, rel. 17
- 66.04°, d 1.415, rel. 17

Cell and atoms:
```
Mg14CrFe
1.0
6.328 0.000 0.000
-3.164 5.480 0.000
0.000 0.000 9.912
Mg Cr Fe
14 1 1
direct
0.000 0.000 0.250
0.000 0.000 0.750
0.012 0.506 0.246
0.012 0.506 0.754
0.333 0.167 0.000
0.335 0.168 0.500
0.494 0.506 0.246
0.494 0.506 0.754
0.494 0.988 0.246
0.494 0.988 0.754
0.832 0.168 0.500
0.832 0.665 0.500
0.833 0.167 0.000
0.833 0.667 0.000
0.333 0.667 0.500
0.333 0.667 0.000
```